(1)
Theoretical powder X-ray diffraction pattern
Compound: Cs4RbTl2
Radiation: Cu Kα X-rays
Structure: a crystal structure in Alexandria, relaxed with PBE

Top 10 peaks for 2θ from 10° to 90°, in order of rising 2θ:
2θ (°)  intensity  index
11.76  46  1 0 1
15.40  51  1 1 0
21.84  100  2 0 0
25.02  31  1 0 5
28.40  24  2 0 4
31.08  41  2 2 0
31.27  47  1 1 6
33.45  29  2 1 5
44.67  35  3 1 6
50.13  22  4 2 0

abc: 8.139 8.139 19.783
angles: 90.00 90.00 90.00
Space group I4/mmm (No. 139)
Inequivalent atoms, fractional coordinates:
Cs  0.000  0.000  0.236 x4
Cs  0.000  0.500  0.000 x4
Rb  0.000  0.000  0.000 x2
Tl  0.000  0.000  0.427 x4

=====

(2)
Theoretical powder X-ray diffraction pattern
Compound: Cs9Rb6Zn
Radiation: Cu Kα X-rays
Structure: a crystal structure in Alexandria, relaxed with PBE

Top 10 peaks for 2θ from 10° to 90°, in order of rising 2θ:
2θ (°)  intensity  index
20.50  100  2 1 3
23.19  44  1 3 0
24.72  18  0 0 6
33.03  17  4 2 0
34.15  31  1 3 6
39.19  35  5 0 3
41.11  15  2 1 9
41.69  17  4 2 6
53.72  13  5 0 9
59.72  11  7 1 6

abc: 12.127 12.127 21.610
angles: 90.00 90.00 90.00
Space group I4/m (No. 87)
Inequivalent atoms, fractional coordinates:
Cs  0.000  0.000  0.000 x2
Cs  0.110  0.306  0.160 x16
Rb  0.000  0.000  0.330 x4
Rb  0.095  0.289  0.500 x8
Zn  0.000  0.000  0.500 x2

=====

(3)
Theoretical powder X-ray diffraction pattern
Compound: Cs6Rb9Zn
Radiation: Cu Kα X-rays
Structure: a crystal structure in Alexandria, relaxed with PBE

Top 10 peaks for 2θ from 10° to 90°, in order of rising 2θ:
2θ (°)  intensity  index
20.88  100  1 2 3
23.93  22  0 0 6
24.26  42  3 1 0
34.34  34  3 1 6
34.58  16  2 4 0
40.32  17  1 2 9
40.74  34  5 0 3
42.49  18  2 4 6
54.14  15  5 0 9
61.81  11  5 5 6

abc: 11.601 11.601 22.311
angles: 90.00 90.00 90.00
Space group I4/m (No. 87)
Inequivalent atoms, fractional coordinates:
Cs  0.000  0.000  0.170 x4
Cs  0.111  0.694  0.000 x8
Rb  0.000  0.000  0.500 x2
Rb  0.098  0.699  0.331 x16
Zn  0.000  0.000  0.000 x2

=====

(4)
Theoretical powder X-ray diffraction pattern
Compound: Cs2Rb4Zn
Radiation: Cu Kα X-rays
Structure: a crystal structure in Alexandria, relaxed with PBE

Top 10 peaks for 2θ from 10° to 90°, in order of rising 2θ:
2θ (°)  intensity  index
15.98  14  2 1 1
21.08  19  4 0 0
21.72  25  0 0 2
21.90  100  3 2 1
26.97  17  5 1 0
30.45  31  4 0 2
38.19  24  3 2 3
40.49  32  7 2 1
43.96  18  5 5 2
51.79  16  7 2 3

abc: 16.855 16.855 8.184
angles: 90.00 90.00 90.00
Space group I4/mcm (No. 140)
Inequivalent atoms, fractional coordinates:
Cs  0.113  0.387  0.000 x8
Rb  0.087  0.177  0.500 x16
Zn  0.000  0.000  0.250 x4

=====

(5)
Theoretical powder X-ray diffraction pattern
Compound: Cs6Rb8Zn
Radiation: Cu Kα X-rays
Structure: a crystal structure in Alexandria, relaxed with PBE

Top 10 peaks for 2θ from 10° to 90°, in order of rising 2θ:
2θ (°)  intensity  index
20.78  100  1 2 2
24.04  63  3 -1 4
34.26  49  4 1 0
40.41  49  4 1 6
42.31  13  2 4 4
53.93  10  2 4 10
55.46  11  4 1 12
55.55  11  7 0 4
61.38  12  5 3 8
65.52  13  3 6 6

abc: 13.8388 13.8388 25.6939
angles: 90.00 90.00 120.00
Space group R-3 (No. 148, hexagonal axes)
Inequivalent atoms, fractional coordinates:
Cs  0.0361  0.7963  0.4134 x18
Rb  0.0000  0.0000  0.2416 x6
Rb  0.0512  0.8157  0.9155 x18
Zn  0.0000  0.0000  0.0000 x3

=====

(6)
Theoretical powder X-ray diffraction pattern
Compound: CsRbZn
Radiation: Cu Kα X-rays
Structure: a crystal structure in Alexandria, relaxed with PBE

Top 10 peaks for 2θ from 10° to 90°, in order of rising 2θ:
2θ (°)  intensity  index
11.96  37  0 0 1
20.46  36  1 0 1
20.56  35  0 1 1
23.55  100  1 1 0
24.06  47  0 0 2
26.49  24  1 1 1
33.42  20  2 0 0
33.87  39  1 1 -2
33.97  39  1 1 2
41.82  21  0 2 2

abc: 5.362 5.323 7.397
angles: 90.00 90.25 90.00
Space group Pm (No. 6)
Inequivalent atoms, fractional coordinates:
Cs  0.000  0.000  0.000 x1
Rb  0.497  0.500  0.500 x1
Zn  0.501  0.500  0.000 x1

=====

(7)
Theoretical powder X-ray diffraction pattern
Compound: CsReS2
Radiation: Cu Kα X-rays
Structure: a crystal structure in Alexandria, relaxed with PBE

Top 10 peaks for 2θ from 10° to 90°, in order of rising 2θ:
2θ (°)  intensity  index
11.38  49  0 0 2
12.51  35  1 1 -1
13.76  32  1 1 1
23.82  39  2 2 -1
26.52  26  3 1 -1
31.15  100  2 2 -4
38.02  30  4 0 2
48.37  27  4 4 -1
53.74  23  4 0 -8
58.66  26  2 6 3

abc: 10.644 10.644 15.780
angles: 90.00 99.83 90.00
Space group C2/c (No. 15)
Inequivalent atoms, fractional coordinates:
Cs  0.045  0.185  0.413 x8
Cs  0.213  0.440  0.090 x8
Re  0.091  0.209  0.692 x8
Re  0.120  0.419  0.808 x8
S  0.000  0.043  0.750 x4
S  0.000  0.415  0.250 x4
S  0.040  0.315  0.912 x8
S  0.217  0.064  0.619 x8
S  0.229  0.188  0.248 x8

=====

(8)
Theoretical powder X-ray diffraction pattern
Compound: CsSrReS2
Radiation: Cu Kα X-rays
Structure: a crystal structure in Alexandria, relaxed with PBE

Top 10 peaks for 2θ from 10° to 90°, in order of rising 2θ:
2θ (°)  intensity  index
12.70  33  0 0 1
20.29  41  1 0 1
22.36  90  1 1 0
25.56  66  0 0 2
25.80  100  1 1 1
31.83  74  2 0 0
34.21  63  1 1 2
41.26  72  2 0 2
53.04  34  2 2 2
58.26  28  3 1 2

abc: 5.622 5.622 6.971
angles: 90.00 90.00 90.00
Space group P4/mmm (No. 123)
Inequivalent atoms, fractional coordinates:
Cs  0.000  0.000  0.000 x1
Sr  0.000  0.000  0.500 x1
Re  0.500  0.500  0.000 x1
S  0.000  0.500  0.500 x2